[1]
Diffraction record for HoTmPt4. The X-ray diffraction stick pattern is theoretical, not measured: it uses a structure optimized by DFT (PBE) and Cu Kα X-rays.
Intensities are scaled so that the largest is 100.

The 8 most intense peaks (15° ≤ 2θ ≤ 90°), sorted by position:
d (Å)	2θ (°)	intensity
2.704	33.13	35
2.666	33.61	28
2.539	35.35	100
2.302	39.13	64
2.234	40.37	19
2.076	43.60	42
1.920	47.35	23
1.258	75.61	18

Cell and atoms:
```
6
Lattice="4.0497 -4.1491 0.0000 4.0497 4.1491 0.0000 -2.1233 0.0000 3.5679" Properties=species:S:1:pos:R:3 pbc="T T T"
Ho 0.0000 0.0000 0.0000
Tm 2.9880 -0.9284 1.7840
Pt 0.6685 0.8197 2.8132
Pt 0.2173 -1.7265 2.5494
Pt 5.3076 0.8197 0.7547
Pt 5.7588 -1.7265 1.0185
```

---

[2]
Diffraction record for Si2Se4S. The X-ray diffraction stick pattern is theoretical, not measured: it uses a structure optimized by DFT (PBE) and Cu Kα X-rays.
Intensities are scaled so that the largest is 100.

The 8 most intense peaks (15° ≤ 2θ ≤ 90°), sorted by position:
d (Å)	2θ (°)	intensity
4.056	21.92	52
3.675	24.22	56
3.247	27.47	100
2.505	35.85	80
2.131	42.41	35
2.103	43.00	32
1.771	51.60	27
1.611	57.18	27

Cell and atoms:
```
7
Lattice="-2.5051 2.5051 8.1113 2.5051 -2.5051 8.1113 2.5051 2.5051 -8.1113" Properties=species:S:1:pos:R:3 pbc="T T T"
Si 0.0000 0.0000 1.2176
Si 0.0000 0.0000 15.0051
Se 2.5051 0.0000 0.0000
Se 0.0000 0.0000 3.3355
Se 0.0000 2.5051 0.0000
Se 0.0000 0.0000 12.8871
S 0.0000 0.0000 8.1113
```

---

[3]
Diffraction record for CeCoP3. The X-ray diffraction stick pattern is theoretical, not measured: it uses a structure optimized by DFT (PBE) and Cu Kα X-rays.
Intensities are scaled so that the largest is 100.

The 8 most intense peaks (15° ≤ 2θ ≤ 90°), sorted by position:
d (Å)	2θ (°)	intensity
3.545	25.12	100
3.141	28.41	53
2.404	37.42	54
2.396	37.54	44
2.348	38.33	27
2.304	39.09	96
2.184	41.34	27
1.859	49.00	47

Cell and atoms:
```
20
Lattice="11.7424 0.0000 0.0000 0.0000 5.2689 0.0000 0.0000 0.0000 5.2479" Properties=species:S:1:pos:R:3 pbc="T T T"
Ce 2.3047 0.0073 1.3120
Ce 2.3047 2.6271 3.9359
Ce 9.4378 2.6418 1.3120
Ce 9.4378 5.2616 3.9359
Co 4.9215 3.9517 0.0000
Co 4.9215 3.9517 2.6240
Co 6.8209 1.3172 0.0000
Co 6.8209 1.3172 2.6240
P 0.0067 3.9517 0.0000
P 0.0067 3.9517 2.6240
P 3.5076 0.0471 3.9359
P 3.5076 2.5874 1.3120
P 5.1476 0.5750 1.3120
P 5.1476 2.0595 3.9359
P 6.5949 3.2094 1.3120
P 6.5949 4.6939 3.9359
P 8.2348 2.6815 3.9359
P 8.2348 5.2218 1.3120
P 11.7357 1.3172 0.0000
P 11.7357 1.3172 2.6240
```

---

[4]
Diffraction record for SrP4Pd12. The X-ray diffraction stick pattern is theoretical, not measured: it uses a structure optimized by DFT (PBE) and Cu Kα X-rays.
Intensities are scaled so that the largest is 100.

The 8 most intense peaks (15° ≤ 2θ ≤ 90°), sorted by position:
d (Å)	2θ (°)	intensity
2.656	33.74	100
2.245	40.17	45
1.715	53.44	15
1.647	55.81	17
1.441	64.71	16
1.400	66.83	11
1.363	68.91	12
1.238	76.99	16

Cell and atoms:
```
17
Lattice="-4.1999 4.1999 4.1999 4.1999 -4.1999 4.1999 4.1999 4.1999 -4.1999" Properties=species:S:1:pos:R:3 pbc="T T T"
Sr 0.0000 0.0000 0.0000
P 2.1000 2.1000 -2.1000
P 2.1000 -2.1000 2.1000
P -2.1000 2.1000 2.1000
P 2.1000 2.1000 2.1000
Pd 4.1999 2.7092 -1.3571
Pd 2.8429 0.0000 1.4907
Pd 5.5570 0.0000 1.4907
Pd 1.4907 2.8429 0.0000
Pd 2.7092 -1.3571 4.1999
Pd 4.1999 2.7092 1.3571
Pd 0.0000 1.4907 2.8429
Pd 1.4907 5.5570 0.0000
Pd 2.7092 1.3571 4.1999
Pd -1.3571 4.1999 2.7092
Pd 1.3571 4.1999 2.7092
Pd 0.0000 1.4907 5.5570
```

---

[5]
Diffraction record for Ho4AgIr2. The X-ray diffraction stick pattern is theoretical, not measured: it uses a structure optimized by DFT (PBE) and Cu Kα X-rays.
Intensities are scaled so that the largest is 100.

The 8 most intense peaks (15° ≤ 2θ ≤ 90°), sorted by position:
d (Å)	2θ (°)	intensity
2.802	31.94	44
2.756	32.49	100
2.734	32.76	89
2.718	32.96	57
2.383	37.76	46
2.300	39.16	55
2.281	39.51	24
1.691	54.25	23

Cell and atoms:
```
14
Lattice="7.4044 0.0000 0.0000 -2.3723 7.0200 0.0000 -2.5101 -3.5013 6.3326" Properties=species:S:1:pos:R:3 pbc="T T T"
Ho 0.0000 0.0000 0.0000
Ho -3.5396 5.2105 3.1753
Ho -2.3550 1.7036 5.0614
Ho 1.3852 3.1922 1.0418
Ho 0.2253 4.0340 4.0121
Ho 1.4116 0.5257 4.2251
Ho 3.7061 0.0011 1.9066
Ho 5.0855 3.1911 0.8614
Ag -0.8444 1.2966 2.5322
Ag 0.3426 -2.2116 5.7054
Ir -0.8299 5.3211 1.7320
Ir 2.8648 5.3260 0.1612
Ir 2.9475 2.6146 3.3233
Ir 4.1299 -0.8921 4.9049
```

---

[6]
Diffraction record for Sb2Cl13. The X-ray diffraction stick pattern is theoretical, not measured: it uses a structure optimized by DFT (PBE) and Cu Kα X-rays.
Intensities are scaled so that the largest is 100.

The 8 most intense peaks (15° ≤ 2θ ≤ 90°), sorted by position:
d (Å)	2θ (°)	intensity
5.551	15.97	100
5.300	16.73	52
4.769	18.61	48
3.799	23.42	42
3.713	23.97	58
3.702	24.04	65
2.546	35.26	70
2.535	35.40	59

Cell and atoms:
```
15
Lattice="7.9064 0.0000 0.0000 2.4912 7.6585 0.0000 2.6446 1.4068 9.5378" Properties=species:S:1:pos:R:3 pbc="T T T"
Sb 2.0462 1.3977 2.2638
Sb 10.9960 7.6676 7.2739
Cl 1.3223 0.7034 4.7689
Cl 2.3366 3.5767 3.2199
Cl 5.4322 7.1336 7.5237
Cl 4.0289 6.8072 1.7285
Cl 2.6193 2.0478 0.0926
Cl 5.9801 5.0625 5.4164
Cl 4.2368 0.8174 2.9496
Cl 8.8054 8.2479 6.5882
Cl 7.0620 4.0029 4.1214
Cl 10.4229 7.0176 9.4451
Cl 9.0133 2.2582 7.8093
Cl 7.6099 1.9318 2.0140
Cl 10.7056 5.4887 6.3178
```

---

[7]
Diffraction record for RbNaBe. The X-ray diffraction stick pattern is theoretical, not measured: it uses a structure optimized by DFT (PBE) and Cu Kα X-rays.
Intensities are scaled so that the largest is 100.

The 8 most intense peaks (15° ≤ 2θ ≤ 90°), sorted by position:
d (Å)	2θ (°)	intensity
4.941	17.95	26
4.251	20.89	100
3.992	22.27	49
3.933	22.61	42
3.445	25.86	92
3.218	27.72	85
2.676	33.49	44
2.339	38.48	31

Cell and atoms:
```
6
Lattice="4.2417 0.0000 0.0000 -0.0009 5.0531 0.0000 -0.0200 -2.5148 11.7988" Properties=species:S:1:pos:R:3 pbc="T T T"
Rb 0.0000 0.0000 0.0000
Rb 2.0900 0.0123 7.8387
Na 2.1201 2.5378 2.9490
Na 4.2263 0.0080 4.5262
Be 1.0456 2.5362 5.6508
Be 3.1663 2.5365 5.6569
```

---

[8]
Diffraction record for Ho3ScRh2. The X-ray diffraction stick pattern is theoretical, not measured: it uses a structure optimized by DFT (PBE) and Cu Kα X-rays.
Intensities are scaled so that the largest is 100.

The 8 most intense peaks (15° ≤ 2θ ≤ 90°), sorted by position:
d (Å)	2θ (°)	intensity
3.883	22.90	75
3.663	24.30	35
3.278	27.21	33
2.535	35.41	83
2.410	37.32	88
2.396	37.53	99
2.330	38.64	100
1.402	66.70	40

Cell and atoms:
```
12
Lattice="-3.2779 6.6248 3.5117 3.2779 -6.6248 3.5117 3.2779 6.6248 -3.5117" Properties=species:S:1:pos:R:3 pbc="T T T"
Ho 3.2779 -3.0104 1.7558
Ho 0.0000 0.0000 1.7558
Ho 3.2779 3.0104 1.7558
Ho 0.0000 3.6144 1.7558
Ho 0.0000 0.0000 5.2675
Ho 0.0000 9.6353 1.7558
Sc 3.2779 0.0000 0.0000
Sc 0.0000 6.6248 0.0000
Rh 1.4180 1.7951 0.0000
Rh 1.4180 -1.7951 3.5117
Rh 1.8598 8.4199 0.0000
Rh 1.8598 4.8298 3.5117
```